Simulated powder XRD pattern of Li3Ac2InPd12 for Cu Kα X-rays, from a structure optimized by DFT (PBE).
Neutral-atom scattering factors, no anomalous dispersion.

Principal peaks in the range 2θ from 10° to 90°, by intensity:
| 2θ (°) | I/Imax |
| --- | --- |
| 31.43 | 100 |
| 44.24 | 50 |
| 45.85 | 46 |
| 26.04 | 20 |
| 13.62 | 17 |
| 56.65 | 17 |
| 65.61 | 14 |
| 25.38 | 14 |
| 83.71 | 13 |
| 75.74 | 13 |

Structural model:
```
data_Li3Ac2InPd12
_chemical_formula_sum 'Li3 Ac2 In1 Pd12'
_space_group_name_H-M_alt 'P 1'
_space_group_IT_number 1
_cell_length_a 8.200
_cell_length_b 8.200
_cell_length_c 8.200
_cell_angle_alpha 57.73
_cell_angle_beta 57.73
_cell_angle_gamma 57.73
loop_
_space_group_symop_operation_xyz
'x,y,z'
loop_
_atom_site_label
_atom_site_fract_x
_atom_site_fract_y
_atom_site_fract_z
_atom_site_occupancy
Li1 0.000 0.500 0.500 1
Li2 0.500 0.000 0.500 1
Li3 0.500 0.500 0.000 1
Ac1 0.114 0.114 0.114 1
Ac2 0.886 0.886 0.886 1
In1 0.500 0.500 0.500 1
Pd1 0.093 0.638 0.638 1
Pd2 0.132 0.132 0.623 1
Pd3 0.132 0.623 0.132 1
Pd4 0.362 0.362 0.907 1
Pd5 0.362 0.907 0.362 1
Pd6 0.377 0.868 0.868 1
Pd7 0.623 0.132 0.132 1
Pd8 0.638 0.093 0.638 1
Pd9 0.638 0.638 0.093 1
Pd10 0.868 0.377 0.868 1
Pd11 0.868 0.868 0.377 1
Pd12 0.907 0.362 0.362 1
```


Simulated powder XRD pattern of Nd5SmHo3 for Cu Kα X-rays, from a structure optimized by DFT (PBE).
Neutral-atom scattering factors, no anomalous dispersion.

Principal peaks in the range 2θ from 10° to 90°, by intensity:
| 2θ (°) | I/Imax |
| --- | --- |
| 31.51 | 100 |
| 29.32 | 97 |
| 28.46 | 92 |
| 30.05 | 67 |
| 33.52 | 65 |
| 30.41 | 55 |
| 32.81 | 46 |
| 26.52 | 38 |
| 25.59 | 36 |
| 35.00 | 31 |

Structural model:
```
data_Nd5SmHo3
_chemical_formula_sum 'Nd10 Sm2 Ho6'
_space_group_name_H-M_alt 'P 1'
_space_group_IT_number 1
_cell_length_a 10.579
_cell_length_b 10.579
_cell_length_c 11.741
_cell_angle_alpha 120.91
_cell_angle_beta 120.91
_cell_angle_gamma 34.45
loop_
_space_group_symop_operation_xyz
'x,y,z'
loop_
_atom_site_label
_atom_site_fract_x
_atom_site_fract_y
_atom_site_fract_z
_atom_site_occupancy
Nd1 0.032 0.692 0.348 1
Nd2 0.102 0.898 0.750 1
Nd3 0.139 0.500 0.667 1
Nd4 0.308 0.968 0.152 1
Nd5 0.500 0.139 0.167 1
Nd6 0.500 0.861 0.833 1
Nd7 0.692 0.032 0.848 1
Nd8 0.861 0.500 0.333 1
Nd9 0.898 0.102 0.250 1
Nd10 0.968 0.308 0.652 1
Sm1 0.383 0.617 0.250 1
Sm2 0.617 0.383 0.750 1
Ho1 0.107 0.537 0.968 1
Ho2 0.463 0.893 0.532 1
Ho3 0.500 0.500 0.000 1
Ho4 0.500 0.500 0.500 1
Ho5 0.537 0.107 0.468 1
Ho6 0.893 0.463 0.032 1
```


Simulated powder XRD pattern of Nd2Tm6Cd for Cu Kα X-rays, from a structure optimized by DFT (PBE).
Neutral-atom scattering factors, no anomalous dispersion.

Principal peaks in the range 2θ from 10° to 90°, by intensity:
| 2θ (°) | I/Imax |
| --- | --- |
| 32.10 | 100 |
| 32.36 | 53 |
| 32.97 | 40 |
| 30.99 | 24 |
| 46.66 | 18 |
| 58.33 | 14 |
| 57.50 | 13 |
| 38.30 | 12 |
| 57.61 | 12 |
| 51.41 | 10 |

Structural model:
```
data_Nd2Tm6Cd
_chemical_formula_sum 'Nd4 Tm12 Cd2'
_space_group_name_H-M_alt 'P 1'
_space_group_IT_number 1
_cell_length_a 9.741
_cell_length_b 10.215
_cell_length_c 5.434
_cell_angle_alpha 90.00
_cell_angle_beta 90.00
_cell_angle_gamma 90.00
loop_
_space_group_symop_operation_xyz
'x,y,z'
loop_
_atom_site_label
_atom_site_fract_x
_atom_site_fract_y
_atom_site_fract_z
_atom_site_occupancy
Nd1 0.191 0.244 0.000 1
Nd2 0.309 0.744 0.500 1
Nd3 0.691 0.256 0.500 1
Nd4 0.809 0.756 0.000 1
Tm1 0.018 0.324 0.500 1
Tm2 0.139 0.895 0.000 1
Tm3 0.177 0.569 0.000 1
Tm4 0.323 0.069 0.500 1
Tm5 0.361 0.395 0.500 1
Tm6 0.482 0.824 0.000 1
Tm7 0.518 0.176 0.000 1
Tm8 0.639 0.605 0.500 1
Tm9 0.677 0.931 0.500 1
Tm10 0.823 0.431 0.000 1
Tm11 0.861 0.105 0.000 1
Tm12 0.982 0.676 0.500 1
Cd1 0.000 0.000 0.500 1
Cd2 0.500 0.500 0.000 1
```


Simulated powder XRD pattern of AcTlTe2O8 for Cu Kα X-rays, from a structure optimized by DFT (PBE).
Neutral-atom scattering factors, no anomalous dispersion.

Principal peaks in the range 2θ from 10° to 90°, by intensity:
| 2θ (°) | I/Imax |
| --- | --- |
| 27.46 | 100 |
| 28.60 | 77 |
| 19.72 | 56 |
| 16.40 | 53 |
| 40.06 | 46 |
| 49.96 | 39 |
| 53.83 | 23 |
| 66.47 | 18 |
| 50.66 | 16 |
| 59.21 | 14 |

Structural model:
```
data_AcTlTe2O8
_chemical_formula_sum 'Ac1 Tl1 Te2 O8'
_space_group_name_H-M_alt 'P 1'
_space_group_IT_number 1
_cell_length_a 6.242
_cell_length_b 6.242
_cell_length_c 8.129
_cell_angle_alpha 90.00
_cell_angle_beta 90.00
_cell_angle_gamma 120.00
loop_
_space_group_symop_operation_xyz
'x,y,z'
loop_
_atom_site_label
_atom_site_fract_x
_atom_site_fract_y
_atom_site_fract_z
_atom_site_occupancy
Ac1 0.000 0.000 0.000 1
Tl1 0.000 0.000 0.500 1
Te1 0.333 0.667 0.280 1
Te2 0.667 0.333 0.720 1
O1 0.173 0.349 0.196 1
O2 0.176 0.827 0.196 1
O3 0.333 0.667 0.504 1
O4 0.349 0.176 0.804 1
O5 0.651 0.824 0.196 1
O6 0.667 0.333 0.496 1
O7 0.824 0.173 0.804 1
O8 0.827 0.651 0.804 1
```